Calculated X-ray powder pattern of K3Se2O8 for Cu Kα, 1.54184 Å, from a structure optimized by DFT (GGA-PBE).

Unit cell a=15.191 b=6.135 c=10.249 alpha=90.00 beta=105.00 gamma=90.00
Space group C2/c (No. 15)
One atom of each set of equivalent atoms:
K (0.000, 0.241, 0.250)
K (0.189, 0.293, 0.651)
Se (0.112, 0.206, 0.967)
O (0.004, 0.159, 0.566)
O (0.121, 0.430, 0.879)
O (0.152, 0.249, 0.133)
O (0.159, 0.011, 0.416)

Largest 10 diffraction maxima, by intensity, 10 to 80 degrees two-theta:
2theta, d/Å, Rel. int., index
26.63, 3.347, 100, 3 1 1
29.95, 2.983, 83, 1 1 -3
26.23, 3.398, 61, 4 0 -2
39.58, 2.277, 38, 4 2 -2
29.11, 3.067, 38, 0 2 0
17.25, 5.140, 37, 1 1 -1
17.92, 4.950, 30, 0 0 2
44.32, 2.044, 27, 7 1 -1
24.26, 3.668, 25, 4 0 0
41.41, 2.180, 22, 2 0 4